(1)
Simulated X-ray powder pattern
Compound: Ba2MgBr6
Radiation: Cu Kα
Structure: a crystal structure in Alexandria, relaxed with PBE
Peak positions follow from Bragg's law for the DFT cell and can differ from measured ones.

Largest 10 diffraction maxima, most intense first, 2θ = 15–90°:
| (hkl) | 2θ/deg | intensity |
| --- | --- | --- |
| 0 2 2 | 27.4 | 100.0 |
| 2 0 0 | 29.9 | 88.6 |
| 2 1 -3 | 28.6 | 88.1 |
| 1 3 0 | 35.3 | 68.5 |
| 0 2 3 | 33.8 | 67.1 |
| 1 3 -1 | 34.3 | 59.6 |
| 0 0 4 | 35.1 | 57.8 |
| 2 1 -4 | 32.7 | 52.4 |
| 1 1 2 | 30.6 | 50.2 |
| 2 1 -1 | 28.1 | 47.8 |

Structural model:
a b c (Å): 7.197 8.416 12.324
angles (deg): 90.00 123.87 90.00
Space group P2_1/c (No. 14)
One atom of each set of equivalent atoms:
Ba (0.219, 0.106, 0.256) (multiplicity 4)
Mg (0.500, 0.000, 0.000) (multiplicity 2)
Br (0.136, 0.161, 0.950) (multiplicity 4)
Br (0.289, 0.708, 0.947) (multiplicity 4)
Br (0.353, 0.025, 0.750) (multiplicity 4)


(2)
Simulated X-ray powder pattern
Compound: Tm3ScRh2
Radiation: Cu Kα
Structure: a crystal structure in Alexandria, relaxed with PBE
Peak positions follow from Bragg's law for the DFT cell and can differ from measured ones.

Largest 10 diffraction maxima, most intense first, 2θ = 15–90°:
| (hkl) | 2θ/deg | intensity |
| --- | --- | --- |
| 2 4 0 | 38.9 | 100.0 |
| 2 0 2 | 37.9 | 98.8 |
| 0 4 2 | 37.6 | 88.6 |
| 1 3 2 | 35.7 | 83.0 |
| 1 2 1 | 23.1 | 72.1 |
| 2 4 4 | 67.3 | 39.3 |
| 1 3 0 | 24.4 | 35.2 |
| 2 0 0 | 27.4 | 34.5 |
| 1 7 2 | 57.4 | 28.0 |
| 3 7 2 | 71.7 | 27.7 |

Structural model:
a b c (Å): 6.507 13.184 6.960
angles (deg): 90.00 90.00 90.00
Space group Ibam (No. 72)
One atom of each set of equivalent atoms:
Tm (0.000, 0.000, 0.250) (multiplicity 4)
Tm (0.000, 0.272, 0.250) (multiplicity 8)
Sc (0.000, 0.500, 0.000) (multiplicity 4)
Rh (0.215, 0.136, 0.000) (multiplicity 8)


(3)
Simulated X-ray powder pattern
Compound: Sm3Tl4SnSe8
Radiation: Cu Kα
Structure: a crystal structure in Alexandria, relaxed with PBE
Peak positions follow from Bragg's law for the DFT cell and can differ from measured ones.

Largest 10 diffraction maxima, most intense first, 2θ = 15–90°:
| (hkl) | 2θ/deg | intensity |
| --- | --- | --- |
| 0 2 4 | 28.7 | 100.0 |
| 2 0 8 | 39.6 | 37.6 |
| 2 2 0 | 42.4 | 36.2 |
| 4 0 4 | 52.0 | 19.3 |
| 2 0 2 | 25.3 | 18.8 |
| 2 4 4 | 69.2 | 16.4 |
| 2 2 12 | 65.3 | 14.4 |
| 0 4 8 | 59.4 | 11.5 |
| 4 2 8 | 75.6 | 11.4 |
| 0 0 6 | 23.1 | 9.5 |

Structural model:
a b c (Å): 8.5321 8.5321 23.1038
angles (deg): 90.00 90.00 120.00
Space group R-3m (No. 166, hexagonal axes)
One atom of each set of equivalent atoms:
Sm (0.0000, 0.5000, 0.0000) (multiplicity 9)
Tl (0.0000, 0.0000, 0.5000) (multiplicity 3)
Tl (0.0000, 0.5000, 0.5000) (multiplicity 9)
Sn (0.0000, 0.0000, 0.0000) (multiplicity 3)
Se (0.0000, 0.0000, 0.2634) (multiplicity 6)
Se (0.0032, 0.5016, 0.7359) (multiplicity 18)


(4)
Simulated X-ray powder pattern
Compound: PrGe4Pd8
Radiation: Cu Kα
Structure: a crystal structure in Alexandria, relaxed with PBE
Peak positions follow from Bragg's law for the DFT cell and can differ from measured ones.

Largest 10 diffraction maxima, most intense first, 2θ = 15–90°:
| (hkl) | 2θ/deg | intensity |
| --- | --- | --- |
| 3 2 1 | 40.0 | 100.0 |
| 2 2 2 | 43.9 | 72.9 |
| 4 0 0 | 40.5 | 66.6 |
| 2 0 2 | 38.7 | 56.2 |
| 3 0 1 | 34.4 | 51.1 |
| 0 0 2 | 32.9 | 34.1 |
| 6 3 1 | 73.3 | 32.8 |
| 6 0 2 | 72.4 | 25.1 |
| 3 2 3 | 63.6 | 25.0 |
| 4 1 1 | 45.1 | 19.5 |

Structural model:
a b c (Å): 8.920 8.920 5.446
angles (deg): 90.00 90.00 90.00
Space group I4/mmm (No. 139)
One atom of each set of equivalent atoms:
Pr (0.000, 0.000, 0.000) (multiplicity 2)
Ge (0.250, 0.250, 0.250) (multiplicity 8)
Pd (0.000, 0.224, 0.500) (multiplicity 8)
Pd (0.000, 0.336, 0.000) (multiplicity 8)